[1]
This entry pairs a crystal structure of DyV3O9 with its simulated powder diffraction line list. Radiation: Cu Kα (λ = 1.5418 Å). Structure: the PBE+U geometry in Alexandria.
Neutral-atom scattering factors, no anomalous dispersion.

Peak list (8 most intense, 2θ from 5° to 70°, low angle first)
- (1 1 0), 2θ = 12.44°, I 43
- (0 2 0), 2θ = 14.98°, I 57
- (0 0 2), 2θ = 23.44°, I 100
- (1 3 0), 2θ = 24.70°, I 84
- (2 2 1), 2θ = 27.70°, I 66
- (3 1 1), 2θ = 33.29°, I 45
- (1 3 2), 2θ = 34.31°, I 35
- (0 0 4), 2θ = 47.89°, I 35

Structural model:
a = 8.9039 Å, b = 11.8274 Å, c = 7.5907 Å
α = 90.00°, β = 90.00°, γ = 90.00°
Space group C222_1 (No. 20)
One atom of each set of equivalent atoms:
Dy  0.1020  0.0000  0.0000 x4
V  0.0327  0.3203  0.4702 x8
V  0.2466  0.5000  0.0000 x4
O  0.0000  0.3650  0.2500 x4
O  0.0156  0.1790  0.4848 x8
O  0.1263  0.3881  0.9259 x8
O  0.1396  0.0192  0.6796 x8
O  0.2014  0.3736  0.5309 x8

***

[2]
This entry pairs a crystal structure of DyV2O4 with its simulated powder diffraction line list. Radiation: Cu Kα (λ = 1.5418 Å). Structure: the PBE+U geometry in Alexandria.
Neutral-atom scattering factors, no anomalous dispersion.

Peak list (8 most intense, 2θ from 5° to 70°, low angle first)
- (2 0 0), 2θ = 25.73°, I 57
- (2 0 -2), 2θ = 26.22°, I 53
- (0 2 1), 2θ = 31.31°, I 96
- (1 1 -2), 2θ = 31.63°, I 100
- (3 1 -1), 2θ = 32.01°, I 45
- (3 1 -2), 2θ = 32.31°, I 47
- (1 3 -1), 2θ = 40.73°, I 86
- (1 1 2), 2θ = 48.76°, I 45

Structural model:
a = 9.5599 Å, b = 7.0233 Å, c = 6.8001 Å
α = 90.00°, β = 133.58°, γ = 90.00°
Space group C2/c (No. 15)
One atom of each set of equivalent atoms:
Dy  0.0000  0.1197  0.2500 x4
V  0.0000  0.5000  0.0000 x4
V  0.2500  0.2500  0.0000 x4
O  0.0037  0.2127  0.5647 x8
O  0.1837  0.4562  0.4346 x8

***

[3]
This entry pairs a crystal structure of DyW4O12 with its simulated powder diffraction line list. Radiation: Cu Kα (λ = 1.5418 Å). Structure: the PBE+U geometry in Alexandria.
Neutral-atom scattering factors, no anomalous dispersion.

Peak list (8 most intense, 2θ from 5° to 70°, low angle first)
- (1 0 1), 2θ = 16.32°, I 23
- (0 0 2), 2θ = 22.69°, I 74
- (2 0 0), 2θ = 23.61°, I 31
- (0 2 2), 2θ = 32.31°, I 49
- (2 2 0), 2θ = 32.98°, I 100
- (0 0 4), 2θ = 46.28°, I 15
- (2 4 2), 2θ = 58.04°, I 44
- (4 2 2), 2θ = 59.31°, I 23

Structural model:
a = 7.5374 Å, b = 7.8278 Å, c = 7.8469 Å
α = 90.00°, β = 90.00°, γ = 90.00°
Space group Immm (No. 71)
One atom of each set of equivalent atoms:
Dy  0.0000  0.0000  0.0000 x2
W  0.2500  0.2500  0.2500 x8
O  0.0000  0.2948  0.2908 x8
O  0.1945  0.0000  0.2438 x8
O  0.1940  0.2384  0.0000 x8

***

[4]
This entry pairs a crystal structure of DyWO5 with its simulated powder diffraction line list. Radiation: Cu Kα (λ = 1.5418 Å). Structure: the PBE+U geometry in Alexandria.
Neutral-atom scattering factors, no anomalous dispersion.

Peak list (8 most intense, 2θ from 5° to 70°, low angle first)
- (0 2 0), 2θ = 13.87°, I 51
- (1 1 0), 2θ = 20.02°, I 100
- (1 2 -1), 2θ = 22.46°, I 50
- (1 1 -2), 2θ = 27.00°, I 53
- (1 3 -1), 2θ = 27.42°, I 78
- (1 3 0), 2θ = 28.22°, I 48
- (1 2 1), 2θ = 31.84°, I 61
- (1 0 -4), 2θ = 52.82°, I 50

Structural model:
a = 5.3252 Å, b = 12.7667 Å, c = 7.0017 Å
α = 90.00°, β = 117.45°, γ = 90.00°
Space group P2_1/c (No. 14)
One atom of each set of equivalent atoms:
Dy  0.1423  0.0565  0.2840 x4
W  0.3787  0.1371  0.8429 x4
O  0.0097  0.0849  0.5567 x4
O  0.1753  0.0690  0.9635 x4
O  0.2819  0.6406  0.4190 x4
O  0.2879  0.2266  0.2893 x4
O  0.4931  0.5701  0.8413 x4

***

[5]
This entry pairs a crystal structure of DyWO5 with its simulated powder diffraction line list. Radiation: Cu Kα (λ = 1.5418 Å). Structure: the PBE+U geometry in Alexandria.
Neutral-atom scattering factors, no anomalous dispersion.

Peak list (8 most intense, 2θ from 5° to 70°, low angle first)
- (0 0 2), 2θ = 21.56°, I 90
- (1 1 0), 2θ = 26.72°, I 100
- (0 2 0), 2θ = 26.87°, I 54
- (1 1 2), 2θ = 34.59°, I 67
- (0 2 2), 2θ = 34.71°, I 37
- (1 3 0), 2θ = 47.37°, I 25
- (0 2 4), 2θ = 52.19°, I 48
- (1 3 2), 2θ = 52.61°, I 27

Structural model:
a = 3.8600 Å, b = 6.6349 Å, c = 8.2447 Å
α = 90.00°, β = 90.00°, γ = 90.00°
Space group Immm (No. 71)
One atom of each set of equivalent atoms:
Dy  0.0000  0.0000  0.0000 x2
W  0.0000  0.0000  0.5000 x2
O  0.0000  0.0000  0.2688 x4
O  0.0000  0.2945  0.5000 x4
O  0.0000  0.5000  0.0000 x2